(1)
Simulated X-ray powder pattern of LiPmTe2 for a wavelength of 1.5418 Å, from a DFT-relaxed cell (PBE, Alexandria).
Kinematic intensities with the Lorentz-polarization factor, no thermal factor.

Main lines, low angle first (2θ from 10° to 80°):
12.49 deg, intensity 22
23.53 deg, intensity 22
28.67 deg, intensity 100
31.38 deg, intensity 14
40.67 deg, intensity 39
41.32 deg, intensity 37
50.52 deg, intensity 21
66.78 deg, intensity 18
67.69 deg, intensity 16
74.45 deg, intensity 13

Cell and atoms:
```
LiPmTe2
1.0
2.2184 1.2808 7.0846
-2.2184 1.2808 7.0846
0.0000 -2.5616 7.0846
Li Pm Te
1 1 2
Direct
0.0000 0.0000 0.0000
0.5000 0.5000 0.5000
0.2536 0.2536 0.2536
0.7464 0.7464 0.7464
```

=====

(2)
Simulated X-ray powder pattern of Ta2Be2CuNi5 for a wavelength of 1.5418 Å, from a DFT-relaxed cell (PBE, Alexandria).
Kinematic intensities with the Lorentz-polarization factor, no thermal factor.

Main lines, low angle first (2θ from 10° to 80°):
22.48 deg, intensity 61
36.48 deg, intensity 22
37.92 deg, intensity 100
41.99 deg, intensity 36
42.13 deg, intensity 89
43.42 deg, intensity 30
44.53 deg, intensity 86
48.15 deg, intensity 19
76.04 deg, intensity 22
78.41 deg, intensity 28

Cell and atoms:
```
Ta2Be2CuNi5
1.0
8.8426 0.0000 0.0000
0.0000 8.8426 0.0000
0.0000 0.0000 2.9656
Ta Be Cu Ni
4 4 2 10
Direct
0.1780 0.3220 0.0000
0.3220 0.8220 0.0000
0.6780 0.1780 0.0000
0.8220 0.6780 0.0000
0.1203 0.6203 0.0000
0.3797 0.1203 0.0000
0.6203 0.8797 0.0000
0.8797 0.3797 0.0000
0.0000 0.0000 0.0000
0.5000 0.5000 0.0000
0.0000 0.5000 0.5000
0.0620 0.7893 0.5000
0.2107 0.0620 0.5000
0.2893 0.5620 0.5000
0.4380 0.2893 0.5000
0.5000 0.0000 0.5000
0.5620 0.7107 0.5000
0.7107 0.4380 0.5000
0.7893 0.9380 0.5000
0.9380 0.2107 0.5000
```

=====

(3)
Simulated X-ray powder pattern of Cu8Pt6Au for a wavelength of 1.5418 Å, from a DFT-relaxed cell (PBE, Alexandria).
Kinematic intensities with the Lorentz-polarization factor, no thermal factor.

Main lines, low angle first (2θ from 10° to 80°):
20.63 deg, intensity 41
27.40 deg, intensity 65
37.66 deg, intensity 47
38.17 deg, intensity 19
39.63 deg, intensity 28
43.78 deg, intensity 100
45.93 deg, intensity 39
46.37 deg, intensity 17
48.44 deg, intensity 47
67.33 deg, intensity 19

Cell and atoms:
```
Cu8Pt6Au
1.0
9.9445 0.0000 0.0000
-4.9722 8.6121 0.0000
0.0000 0.0000 2.6778
Cu Pt Au
8 6 1
Direct
0.0754 0.2807 0.2071
0.2053 0.9246 0.2071
0.2807 0.2053 0.7929
0.3333 0.6667 0.7622
0.6667 0.3333 0.2378
0.7193 0.7947 0.2071
0.7947 0.0754 0.7929
0.9246 0.7193 0.7929
0.0925 0.6307 0.2595
0.3693 0.4617 0.2595
0.4617 0.0925 0.7405
0.5383 0.9075 0.2595
0.6307 0.5383 0.7405
0.9075 0.3693 0.7405
0.0000 0.0000 0.5000
```

=====

(4)
Simulated X-ray powder pattern of Pm4TlCdO for a wavelength of 1.5418 Å, from a DFT-relaxed cell (PBE, Alexandria).
Kinematic intensities with the Lorentz-polarization factor, no thermal factor.

Main lines, low angle first (2θ from 10° to 80°):
26.10 deg, intensity 23
28.31 deg, intensity 82
32.70 deg, intensity 32
32.97 deg, intensity 26
34.15 deg, intensity 100
37.24 deg, intensity 71
50.39 deg, intensity 38
53.69 deg, intensity 30
61.80 deg, intensity 18
65.18 deg, intensity 31

Cell and atoms:
```
Pm4TlCdO
1.0
3.4124 -8.2146 0.0000
3.4124 8.2146 0.0000
0.0000 0.0000 6.8331
Pm Tl Cd O
8 2 2 2
Direct
0.0000 0.5000 0.0000
0.0000 0.5000 0.5000
0.0768 0.9232 0.7500
0.4213 0.5787 0.7500
0.5000 0.0000 0.0000
0.5000 0.0000 0.5000
0.5787 0.4213 0.2500
0.9232 0.0768 0.2500
0.3880 0.6120 0.2500
0.6120 0.3880 0.7500
0.1155 0.8845 0.2500
0.8845 0.1155 0.7500
0.2496 0.7504 0.7500
0.7504 0.2496 0.2500
```

=====

(5)
Simulated X-ray powder pattern of BAsPC for a wavelength of 1.5418 Å, from a DFT-relaxed cell (PBE, Alexandria).
Kinematic intensities with the Lorentz-polarization factor, no thermal factor.

Main lines, low angle first (2θ from 10° to 80°):
15.54 deg, intensity 72
29.19 deg, intensity 30
31.38 deg, intensity 45
33.97 deg, intensity 100
36.69 deg, intensity 58
37.26 deg, intensity 59
40.87 deg, intensity 26
46.75 deg, intensity 41
47.07 deg, intensity 39
52.41 deg, intensity 27

Cell and atoms:
```
BAsPC
1.0
5.8937 -1.3565 0.0000
5.8937 1.3565 0.0000
-0.8020 0.0000 3.0598
B As P C
1 1 1 1
Direct
0.0000 0.0000 0.0000
0.6865 0.6865 0.6814
0.8898 0.8898 0.4006
0.5716 0.5716 0.0785
```

=====

(6)
Simulated X-ray powder pattern of PmY4Se5 for a wavelength of 1.5418 Å, from a DFT-relaxed cell (PBE, Alexandria).
Kinematic intensities with the Lorentz-polarization factor, no thermal factor.

Main lines, low angle first (2θ from 10° to 80°):
30.77 deg, intensity 100
43.96 deg, intensity 12
44.10 deg, intensity 61
54.64 deg, intensity 13
54.78 deg, intensity 13
64.03 deg, intensity 8
64.21 deg, intensity 4
72.59 deg, intensity 5
72.77 deg, intensity 16
72.87 deg, intensity 11

Cell and atoms:
```
PmY4Se5
1.0
-2.0530 2.9010 10.2997
2.0530 -2.9010 10.2997
2.0530 2.9010 -10.2997
Pm Y Se
1 4 5
Direct
0.0000 0.0000 0.0000
0.2016 0.2016 0.0000
0.4008 0.4008 0.0000
0.5992 0.5992 0.0000
0.7984 0.7984 0.0000
0.1037 0.6037 0.5000
0.3009 0.8009 0.5000
0.5000 0.0000 0.5000
0.6991 0.1991 0.5000
0.8963 0.3963 0.5000
```

=====

(7)
Simulated X-ray powder pattern of Rb2SrP2O7 for a wavelength of 1.5418 Å, from a DFT-relaxed cell (PBE, Alexandria).
Kinematic intensities with the Lorentz-polarization factor, no thermal factor.

Main lines, low angle first (2θ from 10° to 80°):
24.76 deg, intensity 46
25.37 deg, intensity 28
27.92 deg, intensity 47
28.76 deg, intensity 79
29.81 deg, intensity 100
30.00 deg, intensity 44
39.69 deg, intensity 33
41.45 deg, intensity 21
52.56 deg, intensity 27
52.79 deg, intensity 21

Cell and atoms:
```
Rb2SrP2O7
1.0
5.2049 -2.9782 0.0000
5.2049 2.9782 0.0000
-3.9520 0.0000 13.1183
Rb Sr P O
4 2 4 14
Direct
0.0732 0.6319 0.8353
0.3681 0.9268 0.6647
0.6319 0.0732 0.3353
0.9268 0.3681 0.1647
0.0000 0.5000 0.5000
0.5000 0.0000 0.0000
0.2453 0.7005 0.1353
0.2995 0.7547 0.3647
0.7005 0.2453 0.6353
0.7547 0.2995 0.8647
0.0197 0.2002 0.9332
0.1600 0.8400 0.2500
0.1895 0.5829 0.3776
0.2002 0.0197 0.4332
0.3936 0.4031 0.1338
0.4031 0.3936 0.6338
0.4171 0.8105 0.1224
0.5829 0.1895 0.8776
0.5969 0.6064 0.3662
0.6064 0.5969 0.8662
0.7998 0.9803 0.5668
0.8105 0.4171 0.6224
0.8400 0.1600 0.7500
0.9803 0.7998 0.0668
```

=====

(8)
Simulated X-ray powder pattern of Ce5RhSe4 for a wavelength of 1.5418 Å, from a DFT-relaxed cell (PBE, Alexandria).
Kinematic intensities with the Lorentz-polarization factor, no thermal factor.

Main lines, low angle first (2θ from 10° to 80°):
26.11 deg, intensity 15
30.19 deg, intensity 92
30.31 deg, intensity 44
43.28 deg, intensity 100
53.70 deg, intensity 35
62.78 deg, intensity 11
71.24 deg, intensity 15
71.30 deg, intensity 15
71.49 deg, intensity 13
79.34 deg, intensity 22

Cell and atoms:
```
Ce5RhSe4
1.0
-2.0930 2.0930 14.7427
2.0930 -2.0930 14.7427
2.0930 2.0930 -14.7427
Ce Rh Se
5 1 4
Direct
0.0000 0.0000 0.0000
0.2016 0.2016 0.0000
0.4048 0.4048 0.0000
0.5952 0.5952 0.0000
0.7984 0.7984 0.0000
0.5000 0.5000 0.0000
0.1010 0.1010 0.0000
0.3028 0.3028 0.0000
0.6972 0.6972 0.0000
0.8990 0.8990 0.0000
```